Entry 1:
MgV4O8: simulated PXRD pattern (a wavelength of 1.5418 Å), based on a cell relaxed with PBE+U.

Top 10 peaks for 15 to 90 degrees two-theta, low angle first:
(hkl)  two_theta  I_rel
0 2 0  17.9  81
0 1 1  20.3  61
1 0 -1  31.7  44
0 3 1  32.8  100
1 0 1  41.3  29
1 1 1  42.3  26
1 1 -2  42.5  26
1 2 1  45.4  27
1 2 -2  45.5  27
0 3 3  63.9  40

Structure:
```
MgV4O8
1.0
2.9511 0.0000 0.0000
0.0000 9.9031 0.0000
-1.4627 0.0000 4.8666
Mg V O
1 4 8
Direct
0.0000 0.0000 0.0000
0.4729 0.3274 0.9504
0.4729 0.6726 0.9504
0.7406 0.1792 0.4845
0.7406 0.8208 0.4845
0.0990 0.2464 0.2041
0.0990 0.7536 0.2041
0.3817 0.1351 0.7665
0.3817 0.8649 0.7665
0.5338 0.5000 0.0734
0.6452 0.0000 0.2938
0.8503 0.3503 0.7035
0.8503 0.6497 0.7035
```



Entry 2:
Mn2Al3Si3O14: simulated PXRD pattern (a wavelength of 1.5418 Å), based on a cell relaxed with PBE+U.

Top 10 peaks for 15 to 90 degrees two-theta, low angle first:
(hkl)  two_theta  I_rel
1 1 -1  19.5  32
2 0 -2  23.9  46
1 1 -3  31.1  100
2 0 2  33.5  27
3 1 -1  35.1  31
0 2 2  36.6  25
1 1 3  37.3  26
4 2 -4  59.0  33
4 2 2  64.3  22
0 4 0  64.7  21

Structure:
```
Mn2Al3Si3O14
1.0
8.5740 0.0000 0.0000
0.0000 5.7608 0.0000
-3.2330 0.0000 9.4283
Mn Al Si O
4 6 6 28
Direct
0.1927 0.2500 0.3054
0.2568 0.2500 0.6781
0.7432 0.7500 0.3219
0.8073 0.7500 0.6946
0.0000 0.0000 0.0000
0.0000 0.5000 0.0000
0.5000 0.0000 0.0000
0.5000 0.0000 0.5000
0.5000 0.5000 0.0000
0.5000 0.5000 0.5000
0.1502 0.7500 0.4942
0.2040 0.7500 0.8031
0.3092 0.7500 0.1947
0.6908 0.2500 0.8053
0.7960 0.2500 0.1969
0.8498 0.2500 0.5058
0.0117 0.2500 0.6406
0.0700 0.7500 0.8905
0.0849 0.7500 0.6356
0.0911 0.2500 0.9383
0.1867 0.5234 0.1686
0.1867 0.9766 0.1686
0.2692 0.5127 0.5060
0.2692 0.9873 0.5060
0.3196 0.5167 0.8281
0.3196 0.9833 0.8281
0.4062 0.7500 0.0790
0.4124 0.2500 0.0695
0.4296 0.2500 0.3789
0.4467 0.7500 0.3564
0.5533 0.2500 0.6436
0.5704 0.7500 0.6211
0.5876 0.7500 0.9305
0.5938 0.2500 0.9210
0.6804 0.0167 0.1719
0.6804 0.4833 0.1719
0.7308 0.0127 0.4940
0.7308 0.4873 0.4940
0.8133 0.0234 0.8314
0.8133 0.4766 0.8314
0.9089 0.7500 0.0617
0.9151 0.2500 0.3644
0.9300 0.2500 0.1095
0.9883 0.7500 0.3594
```



Entry 3:
Li9Mn2Co5O16: simulated PXRD pattern (a wavelength of 1.5418 Å), based on a cell relaxed with PBE+U.

Top 10 peaks for 15 to 90 degrees two-theta, low angle first:
(hkl)  two_theta  I_rel
0 1 1  18.3  100
1 0 -4  34.4  20
1 0 4  35.9  13
0 1 -7  36.9  11
-1 1 5  41.4  33
1 1 5  43.6  28
0 2 -6  45.0  24
2 0 0  61.3  9
1 3 -1  63.9  9
1 -1 11  65.0  8

Structure:
```
Li9Mn2Co5O16
1.0
3.0260 0.0000 0.0000
-0.1228 5.0595 0.0000
-0.8210 -0.6839 19.0980
Li Mn Co O
9 2 5 16
Direct
0.0000 0.0000 0.0000
0.9997 0.1254 0.3742
0.0005 0.2497 0.7483
0.0074 0.4961 0.4991
0.4977 0.8760 0.1250
0.5003 0.1253 0.8749
0.5004 0.6248 0.3743
0.5044 0.3736 0.6233
0.9927 0.7543 0.2491
0.5088 0.7515 0.7475
0.9914 0.6238 0.8753
0.0007 0.3721 0.1264
0.0052 0.8819 0.6212
0.4943 0.4969 0.0018
0.4991 0.2502 0.2547
0.5015 0.9991 0.4932
0.0051 0.6647 0.0644
0.0259 0.8234 0.4411
0.0363 0.0852 0.1874
0.0416 0.5841 0.6834
0.4575 0.7913 0.9392
0.4927 0.7227 0.5591
0.4974 0.2063 0.0626
0.4989 0.2805 0.4440
0.5005 0.9702 0.3039
0.5111 0.5284 0.1888
0.5115 0.0444 0.6851
0.5316 0.4561 0.8106
0.9647 0.1670 0.5604
0.9691 0.9185 0.8121
0.9724 0.4265 0.3068
0.9837 0.3325 0.9385
```